# 1
Computed powder X-ray diffraction pattern
Compound: Te4Au2I
Radiation: Cu Ka
Structure: a GGA-PBE-relaxed structure
Neutral-atom scattering factors, no anomalous dispersion.

Principal peaks in the range 10° ≤ 2θ ≤ 80°, sorted by position:
2θ (°), I_rel, h k l
11.42, 407, 1 0 0
13.61, 1000, 1 0 1
20.20, 656, 0 0 2
21.11, 619, 1 0 2
27.44, 364, -1 2 1
29.95, 244, 2 2 1
30.33, 349, 1 0 3
31.40, 371, 2 2 0
31.98, 235, -1 2 2
35.40, 284, -2 2 1

Structural model:
```
data_Te4Au2I
_symmetry_space_group_name_H-M 'P 1'
_symmetry_Int_Tables_number 1
_cell_length_a 7.9520
_cell_length_b 8.0077
_cell_length_c 9.2104
_cell_angle_alpha 77.23
_cell_angle_beta 77.05
_cell_angle_gamma 83.18
loop_
_symmetry_equiv_pos_as_xyz
'x,y,z'
loop_
_atom_site_label
_atom_site_type_symbol
_atom_site_fract_x
_atom_site_fract_y
_atom_site_fract_z
Te1 Te 0.0000 0.0000 0.0000
Te2 Te 0.0053 0.4951 0.0273
Te3 Te 0.0259 0.6106 0.7015
Te4 Te 0.5209 0.0604 0.5273
Te5 Te 0.5436 0.6386 0.6603
Te6 Te 0.5551 0.0028 0.2093
Te7 Te 0.5700 0.4930 0.2282
Te8 Te 0.9930 0.0957 0.6781
Au1 Au 0.2592 0.8492 0.6491
Au2 Au 0.7764 0.2516 0.1027
Au3 Au 0.7768 0.8648 0.6489
Au4 Au 0.7819 0.7477 0.1230
I1 I 0.1278 0.2993 0.3355
I2 I 0.4268 0.2509 0.8039
```

# 2
Computed powder X-ray diffraction pattern
Compound: TbZrSe4
Radiation: Cu Ka
Structure: a GGA-PBE-relaxed structure
Neutral-atom scattering factors, no anomalous dispersion.

Principal peaks in the range 10° ≤ 2θ ≤ 80°, sorted by position:
2θ (°), I_rel, h k l
22.35, 743, 1 1 -1
22.86, 738, 1 1 1
29.01, 1000, 0 2 1
29.54, 856, 2 1 0
29.79, 889, 1 0 2
31.81, 731, 1 1 -2
37.08, 594, 0 2 2
43.49, 804, 1 3 -1
43.67, 848, 1 1 -3
44.93, 622, 3 1 1

Structural model:
```
data_TbZrSe4
_symmetry_space_group_name_H-M 'P 1 21/c 1'
_symmetry_Int_Tables_number 14
_cell_length_a 6.7312
_cell_length_b 6.9055
_cell_length_c 6.8146
_cell_angle_alpha 90.00
_cell_angle_beta 91.88
_cell_angle_gamma 90.00
loop_
_symmetry_equiv_pos_as_xyz
'x,y,z'
'-x,-y,-z'
'-x,y+1/2,-z+1/2'
'x,-y+1/2,z+1/2'
loop_
_atom_site_label
_atom_site_type_symbol
_atom_site_fract_x
_atom_site_fract_y
_atom_site_fract_z
Tb1 Tb 0.0000 0.0000 0.0000
Zr1 Zr 0.5000 0.0000 0.5000
Se1 Se 0.1378 0.1268 0.3902
Se2 Se 0.3704 0.6546 0.3365
```

# 3
Computed powder X-ray diffraction pattern
Compound: CsFe2PbCl8
Radiation: Cu Ka
Structure: a GGA-PBE-relaxed structure
Neutral-atom scattering factors, no anomalous dispersion.

Principal peaks in the range 10° ≤ 2θ ≤ 80°, sorted by position:
2θ (°), I_rel, h k l
14.34, 576, 1 1 0
16.15, 463, 1 1 -1
16.36, 875, 2 0 0
21.55, 1000, 1 1 -2
23.22, 937, 1 1 2
23.68, 524, 0 2 0
27.39, 787, 3 1 0
29.37, 592, 0 2 2
30.65, 410, 3 1 -2
46.57, 561, 4 2 2

Structural model:
```
data_CsFe2PbCl8
_symmetry_space_group_name_H-M 'C 1 2/m 1'
_symmetry_Int_Tables_number 12
_cell_length_a 10.9339
_cell_length_b 7.5141
_cell_length_c 10.4531
_cell_angle_alpha 90.00
_cell_angle_beta 97.56
_cell_angle_gamma 90.00
loop_
_symmetry_equiv_pos_as_xyz
'x,y,z'
'-x,-y,-z'
'-x,y,-z'
'x,-y,z'
'x+1/2,y+1/2,z'
'-x+1/2,-y+1/2,-z'
'-x+1/2,y+1/2,-z'
'x+1/2,-y+1/2,z'
loop_
_atom_site_label
_atom_site_type_symbol
_atom_site_fract_x
_atom_site_fract_y
_atom_site_fract_z
Cs1 Cs 0.0000 0.0000 0.0000
Fe1 Fe 0.1064 0.5000 0.2850
Pb1 Pb 0.0000 0.0000 0.5000
Cl1 Cl 0.0174 0.2562 0.7133
Cl2 Cl 0.1882 0.5000 0.1027
Cl3 Cl 0.2323 0.5000 0.4735
```

# 4
Computed powder X-ray diffraction pattern
Compound: Cs3As11
Radiation: Cu Ka
Structure: a GGA-PBE-relaxed structure
Neutral-atom scattering factors, no anomalous dispersion.

Principal peaks in the range 10° ≤ 2θ ≤ 80°, sorted by position:
2θ (°), I_rel, h k l
11.16, 323, 0 2 0
12.00, 382, 1 1 -2
12.86, 669, 1 1 2
21.17, 332, 0 2 4
26.15, 638, 2 4 0
26.68, 450, 4 0 0
27.78, 280, 1 1 -6
28.27, 385, 3 3 2
28.96, 1000, 1 1 6
29.20, 542, 1 5 -1

Structural model:
```
data_Cs3As11
_symmetry_space_group_name_H-M 'C 1 2/c 1'
_symmetry_Int_Tables_number 15
_cell_length_a 13.4312
_cell_length_b 15.8627
_cell_length_c 19.9213
_cell_angle_alpha 90.00
_cell_angle_beta 95.19
_cell_angle_gamma 90.00
loop_
_symmetry_equiv_pos_as_xyz
'x,y,z'
'-x,-y,-z'
'-x,y,-z+1/2'
'x,-y,z+1/2'
'x+1/2,y+1/2,z'
'-x+1/2,-y+1/2,-z'
'-x+1/2,y+1/2,-z+1/2'
'x+1/2,-y+1/2,z+1/2'
loop_
_atom_site_label
_atom_site_type_symbol
_atom_site_fract_x
_atom_site_fract_y
_atom_site_fract_z
Cs1 Cs 0.0433 0.2464 0.3904
Cs2 Cs 0.1129 0.1436 0.8809
Cs3 Cs 0.1175 0.4151 0.6277
As1 As 0.0786 0.0154 0.1812
As2 As 0.0993 0.0471 0.0593
As3 As 0.1319 0.4690 0.4429
As4 As 0.1344 0.3914 0.9936
As5 As 0.1368 0.4912 0.3185
As6 As 0.1514 0.1351 0.2429
As7 As 0.1772 0.1841 0.6094
As8 As 0.1948 0.0786 0.5234
As9 As 0.1970 0.3590 0.8147
As10 As 0.2116 0.0919 0.7057
As11 As 0.2296 0.1604 0.0678
```

# 5
Computed powder X-ray diffraction pattern
Compound: Ce2TcSn8
Radiation: Cu Ka
Structure: a GGA-PBE-relaxed structure
Neutral-atom scattering factors, no anomalous dispersion.

Principal peaks in the range 10° ≤ 2θ ≤ 80°, sorted by position:
2θ (°), I_rel, h k l
30.44, 319, 1 1 2
34.67, 1000, 1 1 3
36.73, 170, 0 0 5
38.01, 550, 2 0 0
39.93, 81, 1 1 4
53.89, 231, 2 0 5
54.84, 193, 2 2 0
66.53, 334, 3 1 3
67.32, 153, 1 1 8
67.84, 119, 2 2 5

Structural model:
```
data_Ce2TcSn8
_symmetry_space_group_name_H-M 'P 4/m m m'
_symmetry_Int_Tables_number 123
_symmetry_space_group_name_Hall '-P 4 2'
_cell_length_a 4.7348
_cell_length_b 4.7348
_cell_length_c 12.2335
_cell_angle_alpha 90.00
_cell_angle_beta 90.00
_cell_angle_gamma 90.00
loop_
_atom_site_label
_atom_site_type_symbol
_atom_site_fract_x
_atom_site_fract_y
_atom_site_fract_z
Ce1 Ce 0.0000 0.0000 0.1919
Tc1 Tc 0.0000 0.0000 0.5000
Sn1 Sn 0.0000 0.5000 0.0000
Sn2 Sn 0.0000 0.5000 0.3773
Sn3 Sn 0.5000 0.5000 0.1907
```

# 6
Computed powder X-ray diffraction pattern
Compound: CsSmAgF6
Radiation: Cu Ka
Structure: a GGA-PBE-relaxed structure
Neutral-atom scattering factors, no anomalous dispersion.

Principal peaks in the range 10° ≤ 2θ ≤ 80°, sorted by position:
2θ (°), I_rel, h k l
12.71, 351, 0 1 1
14.64, 267, 0 0 2
24.42, 343, 0 1 3
24.82, 1000, 1 2 1
25.75, 308, 2 1 1
26.78, 670, 2 0 2
32.58, 265, 1 2 3
38.81, 216, 0 3 3
40.71, 220, 3 2 1
50.93, 242, 2 4 2

Structural model:
```
data_CsSmAgF6
_symmetry_space_group_name_H-M 'I m m a'
_symmetry_Int_Tables_number 74
_symmetry_space_group_name_Hall '-I 2b 2'
_cell_length_a 7.9719
_cell_length_b 8.5136
_cell_length_c 12.1010
_cell_angle_alpha 90.00
_cell_angle_beta 90.00
_cell_angle_gamma 90.00
loop_
_atom_site_label
_atom_site_type_symbol
_atom_site_fract_x
_atom_site_fract_y
_atom_site_fract_z
Cs1 Cs 0.0000 0.2500 0.0491
Sm1 Sm 0.0000 0.0000 0.5000
Ag1 Ag 0.2500 0.2500 0.7500
F1 F 0.0000 0.2500 0.4329
F2 F 0.0000 0.2500 0.7921
F3 F 0.2165 0.0633 0.6106
```

# 7
Computed powder X-ray diffraction pattern
Compound: ZnCrW2
Radiation: Cu Ka
Structure: a GGA-PBE-relaxed structure
Neutral-atom scattering factors, no anomalous dispersion.

Principal peaks in the range 10° ≤ 2θ ≤ 80°, sorted by position:
2θ (°), I_rel, h k l
20.68, 321, 0 0 2
35.17, 187, 1 1 0
41.15, 1000, 1 1 2
41.74, 248, 0 2 0
42.07, 211, 0 0 4
58.43, 91, 2 0 0
60.75, 140, 0 2 4
74.35, 89, 2 2 0
75.79, 162, 1 3 2
76.24, 119, 1 1 6

Structural model:
```
data_ZnCrW2
_symmetry_space_group_name_H-M 'I m m m'
_symmetry_Int_Tables_number 71
_symmetry_space_group_name_Hall '-I 2 2'
_cell_length_a 3.1592
_cell_length_b 4.3281
_cell_length_c 8.5921
_cell_angle_alpha 90.00
_cell_angle_beta 90.00
_cell_angle_gamma 90.00
loop_
_atom_site_label
_atom_site_type_symbol
_atom_site_fract_x
_atom_site_fract_y
_atom_site_fract_z
Zn1 Zn 0.0000 0.0000 0.0000
Cr1 Cr 0.0000 0.0000 0.5000
W1 W 0.0000 0.5000 0.2329
```

# 8
Computed powder X-ray diffraction pattern
Compound: Cs2NpInCl6
Radiation: Cu Ka
Structure: a GGA-PBE-relaxed structure
Neutral-atom scattering factors, no anomalous dispersion.

Principal peaks in the range 10° ≤ 2θ ≤ 80°, sorted by position:
2θ (°), I_rel, h k l
12.90, 212, 0 1 1
15.20, 115, 1 0 1
20.83, 259, 0 0 2
21.65, 1000, 1 2 1
22.27, 269, 2 0 0
30.68, 451, 2 0 2
30.93, 237, 0 4 0
36.99, 184, 1 2 3
38.72, 244, 3 2 1
44.13, 278, 2 4 2

Structural model:
```
data_Cs2NpInCl6
_symmetry_space_group_name_H-M 'P m m n'
_symmetry_Int_Tables_number 59
_cell_length_a 7.9827
_cell_length_b 11.5642
_cell_length_c 8.5290
_cell_angle_alpha 90.00
_cell_angle_beta 90.00
_cell_angle_gamma 90.00
loop_
_symmetry_equiv_pos_as_xyz
'x,y,z'
'-x,-y,-z'
'-x+1/2,-y+1/2,z'
'x+1/2,y+1/2,-z'
'x+1/2,-y,-z'
'-x+1/2,y,z'
'-x,y+1/2,-z'
'x,-y+1/2,z'
loop_
_atom_site_label
_atom_site_type_symbol
_atom_site_fract_x
_atom_site_fract_y
_atom_site_fract_z
Cs1 Cs 0.2500 0.0258 0.2103
Np1 Np 0.2500 0.7500 0.7774
In1 In 0.2500 0.2500 0.7210
Cl1 Cl 0.0033 0.2500 0.4354
Cl2 Cl 0.0101 0.7500 0.0072
Cl3 Cl 0.2500 0.5143 0.7882
```

Repeat the fifth record exactly.
Computed powder X-ray diffraction pattern
Compound: Ce2TcSn8
Radiation: Cu Ka
Structure: a GGA-PBE-relaxed structure
Neutral-atom scattering factors, no anomalous dispersion.

Principal peaks in the range 10° ≤ 2θ ≤ 80°, sorted by position:
2θ (°), I_rel, h k l
30.44, 319, 1 1 2
34.67, 1000, 1 1 3
36.73, 170, 0 0 5
38.01, 550, 2 0 0
39.93, 81, 1 1 4
53.89, 231, 2 0 5
54.84, 193, 2 2 0
66.53, 334, 3 1 3
67.32, 153, 1 1 8
67.84, 119, 2 2 5

Structural model:
```
data_Ce2TcSn8
_symmetry_space_group_name_H-M 'P 4/m m m'
_symmetry_Int_Tables_number 123
_symmetry_space_group_name_Hall '-P 4 2'
_cell_length_a 4.7348
_cell_length_b 4.7348
_cell_length_c 12.2335
_cell_angle_alpha 90.00
_cell_angle_beta 90.00
_cell_angle_gamma 90.00
loop_
_atom_site_label
_atom_site_type_symbol
_atom_site_fract_x
_atom_site_fract_y
_atom_site_fract_z
Ce1 Ce 0.0000 0.0000 0.1919
Tc1 Tc 0.0000 0.0000 0.5000
Sn1 Sn 0.0000 0.5000 0.0000
Sn2 Sn 0.0000 0.5000 0.3773
Sn3 Sn 0.5000 0.5000 0.1907
```

Question: Which formula does entry 2 have?
Answer: TbZrSe4